Theoretical PXRD pattern of SrAc3La for Cu Kα (λ = 1.5418 Å), from DFT lattice parameters and positions (GGA-PBE).
No peak broadening, texture or thermal motion is included.

Largest 8 diffraction maxima, sorted by position, 5 to 70 degrees two-theta:
- 14.02°, 6.316 Å, intensity 41, (0 0 6)
- 27.28°, 3.269 Å, intensity 100, (2 -1 3)
- 28.26°, 3.158 Å, intensity 32, (0 0 12)
- 29.96°, 2.983 Å, intensity 77, (2 -1 6)
- 33.99°, 2.638 Å, intensity 56, (1 1 9)
- 44.77°, 2.024 Å, intensity 21, (1 1 15)
- 46.48°, 1.954 Å, intensity 29, (3 0 0)
- 55.29°, 1.661 Å, intensity 30, (3 0 12)

Cell and atoms:
Cell lengths 6.7680, 6.7680, 37.8934 Å; angles 90.00, 90.00, 120.00 degrees
Space group R-3 (No. 148, hexagonal axes)
One atom of each set of equivalent atoms:
Sr: 0.0000 0.0000 0.1661 [6 per cell]
Ac: 0.0014 0.3318 0.0775 [18 per cell]
La: 0.0000 0.0000 0.3339 [6 per cell]

---

Theoretical PXRD pattern of Sr2Ac3LaTe6 for Cu Kα (λ = 1.5418 Å), from DFT lattice parameters and positions (GGA-PBE).
No peak broadening, texture or thermal motion is included.

Largest 8 diffraction maxima, sorted by position, 5 to 70 degrees two-theta:
- 26.80°, 3.326 Å, intensity 100, (1 3 1)
- 38.16°, 2.358 Å, intensity 39, (2 0 2)
- 38.38°, 2.345 Å, intensity 39, (0 6 0)
- 47.43°, 1.917 Å, intensity 21, (4 0 0)
- 55.23°, 1.663 Å, intensity 13, (4 0 -4)
- 62.27°, 1.491 Å, intensity 12, (3 3 -5)
- 62.59°, 1.484 Å, intensity 19, (5 3 -3)
- 69.26°, 1.357 Å, intensity 14, (5 3 1)

Cell and atoms:
Cell lengths 8.124, 14.074, 8.186 Å; angles 90.00, 109.35, 90.00 degrees
Space group C2/m (No. 12)
One atom of each set of equivalent atoms:
Sr: 0.000 0.166 0.000 [4 per cell]
Ac: 0.000 0.000 0.500 [2 per cell]
Ac: 0.000 0.331 0.500 [4 per cell]
La: 0.000 0.500 0.000 [2 per cell]
Te: 0.246 0.334 0.242 [8 per cell]
Te: 0.249 0.500 0.754 [4 per cell]

---

Theoretical PXRD pattern of SrAcLaZn for Cu Kα (λ = 1.5418 Å), from DFT lattice parameters and positions (GGA-PBE).
No peak broadening, texture or thermal motion is included.

Largest 8 diffraction maxima, sorted by position, 5 to 70 degrees two-theta:
- 9.07°, 9.746 Å, intensity 20, (0 0 1)
- 24.74°, 3.598 Å, intensity 37, (1 0 1)
- 27.46°, 3.249 Å, intensity 16, (0 0 3)
- 29.47°, 3.031 Å, intensity 100, (1 0 2)
- 32.71°, 2.738 Å, intensity 49, (1 1 0)
- 43.22°, 2.093 Å, intensity 20, (1 1 3)
- 46.93°, 1.936 Å, intensity 18, (2 0 0)
- 56.39°, 1.632 Å, intensity 32, (2 1 2)

Cell and atoms:
Cell lengths 3.872, 3.872, 9.746 Å; angles 90.00, 90.00, 90.00 degrees
Space group P4mm (No. 99)
One atom of each set of equivalent atoms:
Sr: 0.000 0.000 0.000 [1 per cell]
Ac: 0.500 0.500 0.334 [1 per cell]
La: 0.000 0.000 0.614 [1 per cell]
Zn: 0.500 0.500 0.791 [1 per cell]